Record 1
Simulated powder diffractogram
Compound: Dy5Mg4Co2
Radiation: CuKα
Structure: a cell relaxed with PBE
Lines closer than 0.1° are merged.

Most intense lines, 2θ = 10–90°, by angle:
| 2theta | I_rel | h k l |
| --- | --- | --- |
| 18.3 | 43 | 1 3 0 |
| 22.5 | 27 | 1 4 0 |
| 24.3 | 31 | 2 2 0 |
| 24.9 | 45 | 0 0 1 |
| 31.6 | 23 | 1 6 0 |
| 33.8 | 52 | 1 4 1 |
| 35.0 | 100 | 2 2 1 |
| 36.8 | 40 | 2 3 1 |
| 37.0 | 44 | 1 5 1 |
| 56.3 | 22 | 4 4 1 |

Structural model:
Cell lengths 8.0224, 18.1806, 3.5798 Å; angles 90.00, 90.00, 90.00 degrees
Space group Pbam (No. 55)
Asymmetric unit:
Dy 0.0000 0.0000 0.0000 [2 per cell]
Dy 0.1253 0.4045 0.0000 [4 per cell]
Dy 0.2345 0.7211 0.0000 [4 per cell]
Mg 0.0524 0.8476 0.5000 [4 per cell]
Mg 0.1974 0.5661 0.5000 [4 per cell]
Co 0.0405 0.3005 0.5000 [4 per cell]

Record 2
Simulated powder diffractogram
Compound: Ac3Ge5
Radiation: CuKα
Structure: a cell relaxed with PBE
Lines closer than 0.1° are merged.

Most intense lines, 2θ = 10–90°, by angle:
| 2theta | I_rel | h k l |
| --- | --- | --- |
| 20.7 | 20 | 1 3 1 |
| 24.1 | 14 | 0 0 4 |
| 26.9 | 42 | 1 3 3 |
| 30.7 | 100 | 2 0 2 |
| 36.4 | 42 | 1 3 5 |
| 40.3 | 34 | 2 6 0 |
| 47.6 | 19 | 1 3 7 |
| 55.5 | 24 | 1 9 5 |
| 64.1 | 18 | 1 9 7 |
| 67.3 | 11 | 4 6 2 |

Structural model:
Cell lengths 6.3355, 18.9493, 14.7757 Å; angles 90.00, 90.00, 90.00 degrees
Space group Fdd2 (No. 43)
Asymmetric unit:
Ac 0.0000 0.0000 0.0000 [8 per cell]
Ac 0.0036 0.1680 0.4948 [16 per cell]
Ge 0.0000 0.0000 0.5693 [8 per cell]
Ge 0.0188 0.1623 0.9144 [16 per cell]
Ge 0.0208 0.3259 0.5855 [16 per cell]

Record 3
Simulated powder diffractogram
Compound: Ca12PbAu6
Radiation: CuKα
Structure: a cell relaxed with PBE
Lines closer than 0.1° are merged.

Most intense lines, 2θ = 10–90°, by angle:
| 2theta | I_rel | h k l |
| --- | --- | --- |
| 12.0 | 13 | 1 1 0 |
| 16.9 | 64 | 2 0 0 |
| 26.9 | 19 | 3 1 0 |
| 32.0 | 100 | 3 2 1 |
| 36.4 | 23 | 4 1 1 |
| 44.1 | 55 | 4 1 3 |
| 52.5 | 18 | 6 0 0 |
| 57.0 | 16 | 5 4 1 |
| 70.9 | 15 | 7 3 2 |
| 78.6 | 19 | 7 3 4 |

Structural model:
Cell lengths 10.4657, 10.4657, 10.4657 Å; angles 90.00, 90.00, 90.00 degrees
Space group Im-3 (No. 204)
Asymmetric unit:
Ca 0.0000 0.1792 0.2966 [24 per cell]
Pb 0.0000 0.0000 0.0000 [2 per cell]
Au 0.0000 0.3658 0.5000 [12 per cell]